The following is a calculated XRD peak list of Na3MgMo3O8. It was derived from a structure optimized by DFT (GGA+U), using Cu Kα.
Neutral-atom scattering factors, no anomalous dispersion.

Top 8 peaks for 10 to 80 degrees two-theta, in order of rising 2θ:
- (0 0 1), 16.15 deg, d = 5.489 Å, I = 100
- (0 0 2), 32.62 deg, d = 2.745 Å, I = 18
- (2 2 -1), 32.89 deg, d = 2.723 Å, I = 21
- (2 2 0), 34.31 deg, d = 2.614 Å, I = 24
- (2 2 -2), 39.25 deg, d = 2.296 Å, I = 62
- (4 0 0), 39.66 deg, d = 2.272 Å, I = 30
- (2 2 2), 55.81 deg, d = 1.647 Å, I = 17
- (6 2 -2), 58.23 deg, d = 1.584 Å, I = 18

a b c (Å): 10.9485 6.3897 6.6111
angles (deg): 90.00 123.88 90.00
Space group C2/m (No. 12)
Asymmetric unit:
1 Na 0.0000 0.0000 0.0000 [2 per cell]
2 Na 0.2500 0.2500 0.0000 [4 per cell]
3 Mg 0.0000 0.0000 0.5000 [2 per cell]
4 Mo 0.0000 0.5000 0.5000 [2 per cell]
5 Mo 0.2500 0.2500 0.5000 [4 per cell]
6 O 0.0249 0.2432 0.3104 [8 per cell]
7 O 0.2389 0.0000 0.6938 [4 per cell]
8 O 0.2403 0.5000 0.7131 [4 per cell]